Record 1
For KRb2AlI6, a PBE-relaxed structure gives the theoretical PXRD pattern in this record (copper Kα).
Lines closer than 0.1° are merged.

Cell and atoms:
Lattice parameters (Å, degrees): 8.6937 8.6937 8.6937 60.00 60.00 60.00
Fractional coordinates of all 10 atoms:
1 K 0.0000 0.0000 0.0000
2 Rb 0.2500 0.2500 0.2500
3 Rb 0.7500 0.7500 0.7500
4 Al 0.5000 0.5000 0.5000
5 I 0.2741 0.2741 0.7259
6 I 0.2741 0.7259 0.2741
7 I 0.2741 0.7259 0.7259
8 I 0.7259 0.2741 0.2741
9 I 0.7259 0.2741 0.7259
10 I 0.7259 0.7259 0.2741

The 10 most intense peaks (5° ≤ 2θ ≤ 70°), sorted by position:
two_theta  d_spacing  intensity
14.4  6.147  11
25.1  3.549  100
29.1  3.074  69
38.0  2.366  14
41.6  2.173  46
49.2  1.853  38
51.5  1.775  15
57.6  1.601  10
66.3  1.410  12
68.2  1.375  16

=====

Record 2
For HgO, a PBE-relaxed structure gives the theoretical PXRD pattern in this record (copper Kα).
Lines closer than 0.1° are merged.

Cell and atoms:
Lattice parameters (Å, degrees): 6.7397 5.7966 3.7389 90.00 90.00 90.00
Fractional coordinates of all 8 atoms:
1 Hg 0.1153 0.2500 0.2429
2 Hg 0.3847 0.7500 0.7429
3 Hg 0.6153 0.2500 0.2571
4 Hg 0.8847 0.7500 0.7571
5 O 0.1378 0.7500 0.0690
6 O 0.3622 0.2500 0.5690
7 O 0.6378 0.7500 0.4310
8 O 0.8622 0.2500 0.9310

The 10 most intense peaks (5° ≤ 2θ ≤ 70°), sorted by position:
two_theta  d_spacing  intensity
28.4  3.142  100
30.7  2.913  73
30.9  2.898  52
35.9  2.503  62
48.0  1.894  55
53.4  1.717  18
54.8  1.676  15
58.7  1.573  44
62.6  1.485  22
63.9  1.457  12

=====

Record 3
For GaAsO4, a PBE-relaxed structure gives the theoretical PXRD pattern in this record (copper Kα).
Lines closer than 0.1° are merged.

Cell and atoms:
Lattice parameters (Å, degrees): 5.1120 5.1120 11.6451 90.00 90.00 120.00
Fractional coordinates of all 18 atoms:
1 Ga 0.0000 0.4548 0.1667
2 Ga 0.4548 0.0000 0.8333
3 Ga 0.5452 0.5452 0.5000
4 As 0.0000 0.4541 0.6667
5 As 0.4541 0.0000 0.3333
6 As 0.5459 0.5459 0.0000
7 O 0.0856 0.6885 0.7835
8 O 0.1069 0.7075 0.2938
9 O 0.2925 0.3994 0.6271
10 O 0.3115 0.3970 0.1168
11 O 0.3970 0.3115 0.8832
12 O 0.3994 0.2925 0.3729
13 O 0.6006 0.8931 0.9604
14 O 0.6030 0.9144 0.4501
15 O 0.6885 0.0856 0.2165
16 O 0.7075 0.1069 0.7062
17 O 0.8931 0.6006 0.0396
18 O 0.9144 0.6030 0.5499

The 10 most intense peaks (5° ≤ 2θ ≤ 70°), sorted by position:
two_theta  d_spacing  intensity
20.1  4.427  19
25.3  3.524  100
35.1  2.556  10
37.0  2.432  21
38.5  2.340  13
40.8  2.214  18
47.3  1.921  12
57.3  1.608  16
63.8  1.459  10
64.2  1.451  12

=====

Record 4
For Rb2LiSb2O4, a PBE-relaxed structure gives the theoretical PXRD pattern in this record (copper Kα).
Lines closer than 0.1° are merged.

Cell and atoms:
Lattice parameters (Å, degrees): 5.9299 5.9299 6.7782 105.56 105.56 111.26
Fractional coordinates of all 9 atoms:
1 Rb 0.0000 0.0000 0.0000
2 Rb 0.8349 0.1651 0.5000
3 Li 0.3095 0.6905 0.0000
4 Sb 0.2520 0.7480 0.5000
5 Sb 0.6260 0.3740 0.0000
6 O 0.3688 0.1309 0.6367
7 O 0.5450 0.0454 0.0491
8 O 0.8691 0.6312 0.3633
9 O 0.9546 0.4550 0.9509

The 10 most intense peaks (5° ≤ 2θ ≤ 70°), sorted by position:
two_theta  d_spacing  intensity
17.8  4.981  66
23.5  3.784  100
30.0  2.982  73
30.3  2.946  45
30.9  2.893  52
31.3  2.854  32
31.5  2.842  50
32.4  2.763  75
49.0  1.858  32
49.5  1.842  31